1.
This entry pairs a crystal structure of CaNiOs with its computed powder diffractogram. Radiation: Cu Ka. Structure: the PBE geometry in Alexandria.

Largest 10 diffraction maxima, in order of falling intensity, 2θ from 5° to 70°:
d_spacing  Position (°2θ)  intensity  h k l
5.079  17.5  100.0  0 0 2
2.218  40.7  57.1  1 1 0
2.556  35.1  49.9  0 1 3
2.033  44.6  38.2  1 1 2
3.638  24.5  33.8  0 1 1
2.110  42.9  28.5  1 0 3
1.671  55.0  25.4  1 1 4
2.539  35.3  22.8  0 0 4
1.948  46.6  19.2  0 2 0
1.431  65.2  16.2  1 2 3

Atomic structure:
```
data_CaNiOs
_space_group_name_H-M_alt 'I m m 2'
_space_group_IT_number 44
_cell_length_a 2.698
_cell_length_b 3.897
_cell_length_c 10.157
_cell_angle_alpha 90.00
_cell_angle_beta 90.00
_cell_angle_gamma 90.00
loop_
_space_group_symop_operation_xyz
'x,y,z'
'-x,-y,z'
'-x,y,z'
'x,-y,z'
'x+1/2,y+1/2,z+1/2'
'-x+1/2,-y+1/2,z+1/2'
'-x+1/2,y+1/2,z+1/2'
'x+1/2,-y+1/2,z+1/2'
loop_
_atom_site_label
_atom_site_fract_x
_atom_site_fract_y
_atom_site_fract_z
Ca1 0.000 0.000 0.000
Ni1 0.000 0.000 0.717
Os1 0.000 0.000 0.290
```

2.
This entry pairs a crystal structure of Ca5Ni9P7 with its computed powder diffractogram. Radiation: Cu Ka. Structure: the PBE geometry in Alexandria.

Largest 10 diffraction maxima, in order of falling intensity, 2θ from 5° to 70°:
d_spacing  Position (°2θ)  intensity  h k l
2.477  36.3  100.0  2 1 1
8.653  10.2  42.0  1 0 0
2.028  44.7  42.0  1 3 1
1.897  48.0  27.4  0 0 2
4.996  17.8  23.5  1 1 0
1.759  52.0  22.6  2 3 1
4.326  20.5  20.4  2 0 0
1.985  45.7  20.3  2 3 0
2.296  39.2  15.5  3 0 1
2.498  36.0  13.8  2 2 0

Atomic structure:
```
data_Ca5Ni9P7
_space_group_name_H-M_alt 'P -6'
_space_group_IT_number 174
_cell_length_a 9.9916
_cell_length_b 9.9916
_cell_length_c 3.7943
_cell_angle_alpha 90.00
_cell_angle_beta 90.00
_cell_angle_gamma 120.00
loop_
_space_group_symop_operation_xyz
'x,y,z'
'-x+y,-x,-z'
'-y,x-y,z'
'x,y,-z'
'-x+y,-x,z'
'-y,x-y,-z'
loop_
_atom_site_label
_atom_site_fract_x
_atom_site_fract_y
_atom_site_fract_z
Ca1 0.0000 0.0000 0.0000
Ca2 0.2037 0.7772 0.0000
Ca3 0.6667 0.3333 0.5000
Ni1 0.0350 0.4856 0.5000
Ni2 0.3470 0.2667 0.5000
Ni3 0.3994 0.1268 0.0000
P1 0.2544 0.0176 0.5000
P2 0.3333 0.6667 0.5000
P3 0.4814 0.3913 0.0000
```

3.
This entry pairs a crystal structure of Ca2Ni7P4 with its computed powder diffractogram. Radiation: Cu Ka. Structure: the PBE geometry in Alexandria.

Largest 10 diffraction maxima, in order of falling intensity, 2θ from 5° to 70°:
d_spacing  Position (°2θ)  intensity  h k l
2.435  36.9  100.0  1 1 3
2.360  38.1  96.6  1 3 0
1.848  49.3  64.3  2 0 0
2.213  40.8  53.1  1 2 3
6.884  12.9  46.7  0 1 1
2.068  43.8  44.5  1 1 4
4.518  19.6  42.5  0 1 2
1.828  49.9  38.3  1 4 2
1.915  47.5  38.2  0 4 3
1.809  50.4  28.2  1 0 5

Atomic structure:
```
data_Ca2Ni7P4
_space_group_name_H-M_alt 'P m n 21'
_space_group_IT_number 31
_cell_length_a 3.695
_cell_length_b 9.203
_cell_length_c 10.373
_cell_angle_alpha 90.00
_cell_angle_beta 90.00
_cell_angle_gamma 90.00
loop_
_space_group_symop_operation_xyz
'x,y,z'
'-x+1/2,-y,z+1/2'
'-x,y,z'
'x+1/2,-y,z+1/2'
loop_
_atom_site_label
_atom_site_fract_x
_atom_site_fract_y
_atom_site_fract_z
Ca1 0.000 0.060 0.000
Ca2 0.000 0.438 0.783
Ni1 0.000 0.060 0.306
Ni2 0.000 0.096 0.701
Ni3 0.000 0.304 0.205
Ni4 0.000 0.416 0.479
Ni5 0.000 0.685 0.518
Ni6 0.000 0.728 0.114
Ni7 0.000 0.748 0.879
P1 0.000 0.181 0.497
P2 0.000 0.478 0.064
P3 0.000 0.813 0.317
P4 0.000 0.844 0.689
```

4.
This entry pairs a crystal structure of Ca2Ni2P3 with its computed powder diffractogram. Radiation: Cu Ka. Structure: the PBE geometry in Alexandria.

Largest 10 diffraction maxima, in order of falling intensity, 2θ from 5° to 70°:
d_spacing  Position (°2θ)  intensity  h k l
2.491  36.1  100.0  0 1 2
2.478  36.2  76.7  4 0 0
1.990  45.6  71.1  0 2 0
1.756  52.1  70.5  4 1 2
2.684  33.4  58.2  2 0 2
3.104  28.8  57.7  2 1 0
5.368  16.5  53.7  1 0 1
6.386  13.9  49.9  0 0 1
1.552  59.6  35.1  4 2 0
2.416  37.2  25.9  1 1 2

Atomic structure:
```
data_Ca2Ni2P3
_space_group_name_H-M_alt 'P m m a'
_space_group_IT_number 51
_cell_length_a 9.913
_cell_length_b 3.980
_cell_length_c 6.386
_cell_angle_alpha 90.00
_cell_angle_beta 90.00
_cell_angle_gamma 90.00
loop_
_space_group_symop_operation_xyz
'x,y,z'
'-x,-y,-z'
'-x+1/2,-y,z'
'x+1/2,y,-z'
'x+1/2,-y,-z'
'-x+1/2,y,z'
'-x,y,-z'
'x,-y,z'
loop_
_atom_site_label
_atom_site_fract_x
_atom_site_fract_y
_atom_site_fract_z
Ca1 0.000 0.000 0.000
Ca2 0.250 0.500 0.321
Ni1 0.000 0.000 0.500
Ni2 0.250 0.500 0.791
P1 0.034 0.500 0.689
P2 0.250 0.000 0.641
```